Record 1
The following is a theoretical XRD peak list of CoS2N5ClO4. It was derived from a structure optimized by DFT (PBE+U), using Cu Kα (λ = 1.5418 Å).
Lines closer than 0.1° are merged.

Structure:
```
CoS2N5ClO4
1.0
14.5030 0.0000 0.0000
0.0000 8.3246 0.0000
0.0000 0.0000 8.5004
Co S N Cl O
4 8 20 4 16
direct
0.1700 0.2500 0.1743
0.3300 0.7500 0.6743
0.6700 0.2500 0.3257
0.8300 0.7500 0.8257
0.1023 0.7500 0.0128
0.1391 0.2500 0.5267
0.3609 0.7500 0.0267
0.3977 0.2500 0.5128
0.6023 0.7500 0.4872
0.6391 0.2500 0.9733
0.8609 0.7500 0.4733
0.8977 0.2500 0.9872
0.0896 0.1700 0.3445
0.0896 0.3300 0.3445
0.1186 0.2500 0.0150
0.2334 0.6134 0.6774
0.2334 0.8866 0.6774
0.2666 0.1134 0.1774
0.2666 0.3866 0.1774
0.3814 0.7500 0.5150
0.4104 0.6700 0.8445
0.4104 0.8300 0.8445
0.5896 0.1700 0.1555
0.5896 0.3300 0.1555
0.6186 0.2500 0.4850
0.7334 0.6134 0.8226
0.7334 0.8866 0.8226
0.7666 0.1134 0.3226
0.7666 0.3866 0.3226
0.8814 0.7500 0.9850
0.9104 0.6700 0.6555
0.9104 0.8300 0.6555
0.1585 0.7500 0.5809
0.3415 0.2500 0.0809
0.6585 0.7500 0.9191
0.8415 0.2500 0.4191
0.0681 0.2500 0.6489
0.0812 0.6006 0.9364
0.0812 0.8994 0.9364
0.1476 0.7500 0.1630
0.3524 0.2500 0.6630
0.4188 0.1006 0.4364
0.4188 0.3994 0.4364
0.4319 0.7500 0.1489
0.5681 0.2500 0.8511
0.5812 0.6006 0.5636
0.5812 0.8994 0.5636
0.6476 0.7500 0.3370
0.8524 0.2500 0.8370
0.9188 0.1006 0.0636
0.9188 0.3994 0.0636
0.9319 0.7500 0.3511
```

Main lines, low angle first (10° ≤ 2θ ≤ 80°):
2θ/deg	I_rel
14.9	70
16.1	12
19.3	22
21.3	100
21.8	40
23.7	50
24.6	34
30.7	29
32.8	29
34.0	19

---

Record 2
The following is a theoretical XRD peak list of MgV2O4. It was derived from a structure optimized by DFT (PBE+U), using Cu Kα (λ = 1.5418 Å).
Lines closer than 0.1° are merged.

Structure:
```
MgV2O4
1.0
7.3456 -1.5120 0.0000
7.3456 1.5120 0.0000
-5.8089 0.0000 7.3351
Mg V O
2 4 8
direct
0.1815 0.1815 0.1745
0.8185 0.8185 0.8255
0.1372 0.1372 0.8178
0.3608 0.3608 0.5374
0.6392 0.6392 0.4626
0.8628 0.8628 0.1822
0.0311 0.0311 0.3188
0.2812 0.2812 0.6440
0.3277 0.3277 0.9883
0.3626 0.3626 0.3194
0.6374 0.6374 0.6806
0.6723 0.6723 0.0117
0.7188 0.7188 0.3560
0.9689 0.9689 0.6812
```

Main lines, low angle first (10° ≤ 2θ ≤ 80°):
2θ/deg	I_rel
12.1	49
12.3	59
15.4	100
19.0	66
29.5	47
31.1	81
34.8	47
34.9	75
49.8	53
65.2	44

---

Record 3
The following is a theoretical XRD peak list of Na9Mn15O32. It was derived from a structure optimized by DFT (PBE+U), using Cu Kα (λ = 1.5418 Å).
Lines closer than 0.1° are merged.

Structure:
```
Na9Mn15O32
1.0
6.0403 0.0000 0.0000
2.8986 5.4558 0.0000
2.5094 -1.3012 19.9360
Na Mn O
9 15 32
direct
0.0000 0.0000 0.0000
0.0032 0.4833 0.5068
0.0537 0.2253 0.6590
0.0929 0.4618 0.3188
0.1179 0.9539 0.8128
0.4832 0.2701 0.7501
0.5025 0.7462 0.2504
0.6051 0.6966 0.0677
0.6221 0.1831 0.5698
0.0493 0.9688 0.4121
0.0523 0.2223 0.1596
0.0516 0.7235 0.1600
0.0536 0.7260 0.6593
0.0558 0.4809 0.9080
0.3003 0.3516 0.0338
0.3158 0.8242 0.5359
0.5472 0.4698 0.4107
0.5472 0.9724 0.4121
0.5520 0.2227 0.1594
0.5536 0.7259 0.6598
0.5593 0.4771 0.9071
0.5601 0.9806 0.9077
0.7970 0.1027 0.2858
0.7983 0.6207 0.7830
0.0038 0.9552 0.5893
0.1061 0.4936 0.7276
0.1526 0.9269 0.2076
0.2115 0.1937 0.9637
0.2149 0.8694 0.7059
0.2189 0.0848 0.4687
0.2187 0.3568 0.2113
0.2203 0.6651 0.4647
0.2241 0.6054 0.9656
0.3854 0.0959 0.1013
0.3921 0.5069 0.1041
0.3931 0.3372 0.8581
0.4019 0.5744 0.6042
0.4381 0.9633 0.5930
0.4455 0.7722 0.3604
0.4466 0.2640 0.3602
0.4774 0.7701 0.8542
0.6374 0.6760 0.4668
0.6552 0.1866 0.9560
0.6561 0.1721 0.4611
0.6706 0.4869 0.7262
0.7071 0.8766 0.7160
0.7109 0.9409 0.2155
0.7175 0.3505 0.2167
0.7179 0.6181 0.9590
0.8801 0.2702 0.3547
0.8796 0.8508 0.3561
0.8863 0.0869 0.1080
0.8909 0.5837 0.6129
0.8925 0.3577 0.8488
0.9032 0.7686 0.8553
0.9502 0.5199 0.1126
```

Main lines, low angle first (10° ≤ 2θ ≤ 80°):
2θ/deg	I_rel
17.2	62
17.8	100
34.3	42
34.7	21
35.2	14
40.9	32
41.5	30
42.4	29
58.7	15
61.6	15

---

Record 4
The following is a theoretical XRD peak list of FeOF. It was derived from a structure optimized by DFT (PBE+U), using Cu Kα (λ = 1.5418 Å).
Lines closer than 0.1° are merged.

Structure:
```
FeOF
1.0
5.0881 0.0000 0.0000
0.0000 4.6837 0.0000
-0.1177 0.0000 5.7320
Fe O F
4 4 4
direct
0.2192 0.0255 0.1656
0.2192 0.4745 0.6656
0.7808 0.5255 0.3344
0.7808 0.9745 0.8344
0.0813 0.2253 0.8895
0.0813 0.2747 0.3895
0.9187 0.7253 0.6105
0.9187 0.7747 0.1105
0.4248 0.7347 0.3733
0.4248 0.7653 0.8733
0.5752 0.2347 0.1267
0.5752 0.2653 0.6267
```

Main lines, low angle first (10° ≤ 2θ ≤ 80°):
2θ/deg	I_rel
24.5	63
30.1	100
30.5	57
40.4	16
43.7	23
51.7	25
53.2	30
53.4	18
53.9	29
64.4	22